This entry pairs a crystal structure of NdHo2Ir with its simulated powder XRD pattern. Radiation: Cu Kα, 1.54184 Å. Structure: the GGA-PBE geometry in Alexandria.

Largest 10 diffraction maxima, in order of rising 2θ, 10° ≤ 2θ ≤ 90°:
d (Å), Rel. int.
3.005, 23
2.874, 32
2.813, 100
2.623, 95
2.497, 30
2.369, 34
2.339, 28
2.274, 24
1.722, 25
1.611, 19

Atomic structure:
Lattice parameters (Å, degrees): 7.287 9.356 6.458 90.00 90.00 90.00
Sites, in units of the cell vectors:
Nd: 0.034 0.250 0.133
Nd: 0.466 0.750 0.633
Nd: 0.534 0.250 0.367
Nd: 0.966 0.750 0.867
Ho: 0.175 0.065 0.669
Ho: 0.175 0.435 0.669
Ho: 0.325 0.565 0.169
Ho: 0.325 0.935 0.169
Ho: 0.675 0.065 0.831
Ho: 0.675 0.435 0.831
Ho: 0.825 0.565 0.331
Ho: 0.825 0.935 0.331
Ir: 0.118 0.750 0.434
Ir: 0.382 0.250 0.934
Ir: 0.618 0.750 0.066
Ir: 0.882 0.250 0.566

This entry pairs a crystal structure of Co3Se3Cl with its simulated powder XRD pattern. Radiation: Cu Kα, 1.54184 Å. Structure: the GGA-PBE geometry in Alexandria.

Largest 10 diffraction maxima, in order of rising 2θ, 10° ≤ 2θ ≤ 90°:
d (Å), Rel. int.
7.109, 58
4.104, 26
3.554, 100
2.853, 10
2.392, 47
2.123, 11
2.055, 25
2.050, 51
1.984, 37
1.557, 60

Atomic structure:
Lattice parameters (Å, degrees): 8.202 8.202 4.784 90.00 90.00 119.84
Sites, in units of the cell vectors:
Co: 0.169 0.340 0.750
Co: 0.170 0.830 0.750
Co: 0.340 0.169 0.250
Co: 0.660 0.831 0.750
Co: 0.830 0.170 0.250
Co: 0.831 0.660 0.250
Se: 0.150 0.300 0.250
Se: 0.150 0.850 0.250
Se: 0.300 0.150 0.750
Se: 0.700 0.850 0.250
Se: 0.850 0.150 0.750
Se: 0.850 0.700 0.750
Cl: 0.334 0.666 0.750
Cl: 0.666 0.334 0.250

This entry pairs a crystal structure of Nd3Zn3Cu with its simulated powder XRD pattern. Radiation: Cu Kα, 1.54184 Å. Structure: the GGA-PBE geometry in Alexandria.

Largest 10 diffraction maxima, in order of rising 2θ, 10° ≤ 2θ ≤ 90°:
d (Å), Rel. int.
3.732, 28
2.736, 100
2.688, 62
2.468, 26
2.397, 46
2.263, 34
1.832, 18
1.731, 33
1.455, 19
1.424, 15

Atomic structure:
Lattice parameters (Å, degrees): 10.313 10.313 10.313 159.54 154.65 32.79
Sites, in units of the cell vectors:
Nd: 0.000 0.000 0.000
Nd: 0.379 0.379 0.000
Nd: 0.695 0.195 0.500
Zn: 0.128 0.628 0.500
Zn: 0.555 0.555 0.000
Zn: 0.827 0.827 0.000
Cu: 0.257 0.757 0.500

This entry pairs a crystal structure of ScBe8Rh3 with its simulated powder XRD pattern. Radiation: Cu Kα, 1.54184 Å. Structure: the GGA-PBE geometry in Alexandria.

Largest 10 diffraction maxima, in order of rising 2θ, 10° ≤ 2θ ≤ 90°:
d (Å), Rel. int.
3.824, 86
3.642, 42
3.386, 72
2.637, 41
2.208, 87
2.050, 100
1.888, 58
1.849, 21
1.502, 27
1.242, 37

Atomic structure:
Lattice parameters (Å, degrees): 4.416 4.416 7.284 90.00 90.00 120.00
Sites, in units of the cell vectors:
Sc: 0.000 0.000 0.000
Be: 0.166 0.332 0.674
Be: 0.166 0.834 0.674
Be: 0.333 0.667 0.437
Be: 0.333 0.667 0.931
Be: 0.503 0.006 0.203
Be: 0.503 0.497 0.203
Be: 0.668 0.834 0.674
Be: 0.994 0.497 0.203
Rh: 0.000 0.000 0.362
Rh: 0.667 0.333 0.506
Rh: 0.667 0.333 0.879

This entry pairs a crystal structure of Li2HoMg10 with its simulated powder XRD pattern. Radiation: Cu Kα, 1.54184 Å. Structure: the GGA-PBE geometry in Alexandria.

Largest 10 diffraction maxima, in order of rising 2θ, 10° ≤ 2θ ≤ 90°:
d (Å), Rel. int.
7.259, 94
5.129, 51
4.938, 66
3.567, 37
3.552, 60
3.242, 48
2.928, 40
2.918, 40
2.564, 45
2.537, 100

Atomic structure:
Lattice parameters (Å, degrees): 5.634 7.765 7.776 82.56 69.08 68.86
Sites, in units of the cell vectors:
Li: 0.000 0.000 0.000
Li: 0.500 0.000 0.000
Ho: 0.000 0.000 0.500
Mg: 0.000 0.500 0.500
Mg: 0.007 0.342 0.143
Mg: 0.288 0.206 0.717
Mg: 0.349 0.657 0.143
Mg: 0.496 0.794 0.717
Mg: 0.500 0.500 0.500
Mg: 0.504 0.206 0.283
Mg: 0.651 0.343 0.857
Mg: 0.712 0.794 0.283
Mg: 0.993 0.658 0.857

This entry pairs a crystal structure of NaLa2ScSe4 with its simulated powder XRD pattern. Radiation: Cu Kα, 1.54184 Å. Structure: the GGA-PBE geometry in Alexandria.

Largest 10 diffraction maxima, in order of rising 2θ, 10° ≤ 2θ ≤ 90°:
d (Å), Rel. int.
6.705, 14
3.582, 12
2.952, 100
2.110, 25
2.095, 13
2.081, 12
2.064, 23
1.708, 13
1.331, 11
1.308, 9

Atomic structure:
Lattice parameters (Å, degrees): 7.116 4.190 7.325 90.00 109.58 90.00
Sites, in units of the cell vectors:
Na: 0.000 0.000 0.000
La: 0.500 0.000 0.500
La: 0.500 0.500 0.000
Sc: 0.000 0.500 0.500
Se: 0.225 0.000 0.735
Se: 0.233 0.500 0.255
Se: 0.767 0.500 0.745
Se: 0.775 0.000 0.265

This entry pairs a crystal structure of Sc2BeS with its simulated powder XRD pattern. Radiation: Cu Kα, 1.54184 Å. Structure: the GGA-PBE geometry in Alexandria.

Largest 10 diffraction maxima, in order of rising 2θ, 10° ≤ 2θ ≤ 90°:
d (Å), Rel. int.
4.666, 21
3.413, 25
2.665, 100
2.413, 64
1.789, 54
1.706, 20
1.448, 22
1.437, 12
1.235, 14
1.104, 18

Atomic structure:
Lattice parameters (Å, degrees): 5.789 5.789 5.789 107.76 107.76 112.96
Sites, in units of the cell vectors:
Sc: 0.118 0.625 0.993
Sc: 0.375 0.368 0.493
Sc: 0.632 0.125 0.007
Sc: 0.875 0.882 0.507
Be: 0.250 0.750 0.500
Be: 0.500 0.500 0.000
S: 0.000 0.000 0.000
S: 0.750 0.250 0.500

This entry pairs a crystal structure of HoCu4Ni4 with its simulated powder XRD pattern. Radiation: Cu Kα, 1.54184 Å. Structure: the GGA-PBE geometry in Alexandria.

Largest 10 diffraction maxima, in order of rising 2θ, 10° ≤ 2θ ≤ 90°:
d (Å), Rel. int.
3.400, 8
2.776, 7
2.570, 10
2.150, 100
1.886, 19
1.850, 30
1.321, 18
1.308, 8
1.133, 11
1.118, 19

Atomic structure:
Lattice parameters (Å, degrees): 5.863 5.863 5.863 95.94 95.94 142.46
Sites, in units of the cell vectors:
Ho: 0.000 0.000 0.000
Cu: 0.320 0.320 0.639
Cu: 0.320 0.680 0.000
Cu: 0.680 0.320 0.000
Cu: 0.680 0.680 0.361
Ni: 0.000 0.345 0.345
Ni: 0.000 0.655 0.655
Ni: 0.345 0.000 0.345
Ni: 0.655 0.000 0.655

This entry pairs a crystal structure of SmPuPa with its simulated powder XRD pattern. Radiation: Cu Kα, 1.54184 Å. Structure: the GGA-PBE geometry in Alexandria.

Largest 10 diffraction maxima, in order of rising 2θ, 10° ≤ 2θ ≤ 90°:
d (Å), Rel. int.
6.994, 14
2.763, 100
2.425, 37
2.331, 13
2.168, 9
1.715, 13
1.681, 19
1.457, 29
1.416, 7
1.381, 10

Atomic structure:
Lattice parameters (Å, degrees): 7.403 7.403 7.403 153.22 153.22 38.24
Sites, in units of the cell vectors:
Sm: 0.000 0.000 0.000
Pu: 0.308 0.308 0.000
Pa: 0.671 0.671 0.000

This entry pairs a crystal structure of HgC3Br with its simulated powder XRD pattern. Radiation: Cu Kα, 1.54184 Å. Structure: the GGA-PBE geometry in Alexandria.

Largest 10 diffraction maxima, in order of rising 2θ, 10° ≤ 2θ ≤ 90°:
d (Å), Rel. int.
4.190, 17
2.963, 100
2.419, 12
2.095, 25
1.874, 9
1.711, 41
1.481, 16
1.325, 18
1.210, 6
1.120, 22

Atomic structure:
Lattice parameters (Å, degrees): 4.190 4.190 4.190 90.00 90.00 90.00
Sites, in units of the cell vectors:
Hg: 0.000 0.000 0.000
C: 0.000 0.500 0.500
C: 0.500 0.000 0.500
C: 0.500 0.500 0.000
Br: 0.500 0.500 0.500

This entry pairs a crystal structure of La2TbPb3 with its simulated powder XRD pattern. Radiation: Cu Kα, 1.54184 Å. Structure: the GGA-PBE geometry in Alexandria.

Largest 10 diffraction maxima, in order of rising 2θ, 10° ≤ 2θ ≤ 90°:
d (Å), Rel. int.
3.279, 61
3.109, 100
2.709, 34
2.256, 83
2.089, 35
1.642, 16
1.631, 15
1.460, 21
1.450, 21
1.404, 19

Atomic structure:
Lattice parameters (Å, degrees): 8.967 8.967 7.590 102.19 102.19 42.89
Sites, in units of the cell vectors:
La: 0.166 0.169 0.084
La: 0.169 0.166 0.584
La: 0.831 0.834 0.416
La: 0.834 0.831 0.916
Tb: 0.493 0.507 0.250
Tb: 0.507 0.493 0.750
Pb: 0.008 0.992 0.750
Pb: 0.337 0.340 0.419
Pb: 0.340 0.337 0.919
Pb: 0.660 0.663 0.081
Pb: 0.663 0.660 0.581
Pb: 0.992 0.008 0.250

This entry pairs a crystal structure of SrTl2P4O12 with its simulated powder XRD pattern. Radiation: Cu Kα, 1.54184 Å. Structure: the GGA-PBE geometry in Alexandria.

Largest 10 diffraction maxima, in order of rising 2θ, 10° ≤ 2θ ≤ 90°:
d (Å), Rel. int.
6.207, 47
5.469, 100
3.867, 40
3.282, 72
3.165, 97
3.104, 68
2.734, 49
2.448, 98
1.824, 43
1.783, 31

Atomic structure:
Lattice parameters (Å, degrees): 7.548 7.548 7.548 118.37 118.37 92.85
Sites, in units of the cell vectors:
Sr: 0.000 0.000 0.000
Tl: 0.080 0.580 0.500
Tl: 0.420 0.920 0.500
P: 0.562 0.433 0.552
P: 0.567 0.120 0.130
P: 0.880 0.010 0.448
P: 0.990 0.438 0.870
O: 0.006 0.270 0.645
O: 0.069 0.384 0.055
O: 0.090 0.657 0.941
O: 0.329 0.013 0.945
O: 0.343 0.283 0.433
O: 0.616 0.671 0.684
O: 0.626 0.361 0.355
O: 0.639 0.994 0.264
O: 0.717 0.149 0.059
O: 0.730 0.374 0.736
O: 0.851 0.910 0.567
O: 0.987 0.931 0.316